This entry pairs a crystal structure of Mn3P3O13 with its calculated powder diffraction line list. Radiation: Cu Ka. Structure: a GGA+U-relaxed structure.
Intensities are scaled so that the largest is 100.

Top 6 peaks for 2θ from 5° to 70°, in order of rising 2θ:
2θ (°), I_rel
16.6, 90
19.3, 100
27.1, 69
28.7, 55
30.4, 64
33.0, 57

```
38
Lattice="7.4362 0.0000 0.0000 0.0000 6.2181 0.0000 -1.7190 0.0000 10.3281" Properties=species:S:1:pos:R:3 pbc="T T T"
Mn 0.0000 0.0000 0.0000
Mn 0.0000 3.1091 0.0000
Mn 0.7926 1.5545 5.7070
Mn 2.3992 4.6636 2.0327
Mn 3.3180 1.5545 8.2954
Mn 4.9246 4.6636 4.6212
P 0.7713 4.6636 4.8926
P 1.5395 1.5545 2.3938
P 0.7619 1.5545 9.1226
P 4.9553 4.6636 1.2055
P 4.1777 4.6636 7.9343
P 4.9459 1.5545 5.4355
O -0.5473 4.6636 4.1328
O 0.3843 1.5545 1.2579
O 0.7602 4.6636 1.0345
O 0.8443 1.5545 3.7437
O -0.0590 0.2798 9.4089
O -0.0590 2.8293 9.4089
O 0.9575 3.4424 5.8329
O 0.9575 5.8849 5.8329
O 1.3403 1.5545 7.6554
O 1.9667 4.6636 3.8931
O 2.4198 0.3387 2.0935
O 2.4198 2.7704 2.0935
O 3.5739 4.6636 0.4804
O 2.1433 1.5545 9.8478
O 3.2974 3.4478 8.2346
O 3.2974 5.8794 8.2346
O 3.7505 1.5545 6.4351
O 4.3769 4.6636 2.6727
O 4.7597 0.3333 4.4952
O 4.7597 2.7758 4.4952
O 5.7762 3.3889 0.9192
O 5.7762 5.9384 0.9192
O 4.8729 4.6636 6.5844
O 4.9570 1.5545 9.2937
O 5.3329 4.6636 9.0702
O 6.2645 1.5545 6.1953
```

---

This entry pairs a crystal structure of LiMn2O3 with its calculated powder diffraction line list. Radiation: Cu Ka. Structure: a GGA+U-relaxed structure.
Intensities are scaled so that the largest is 100.

Top 6 peaks for 2θ from 5° to 70°, in order of rising 2θ:
2θ (°), I_rel
17.7, 60
36.0, 29
39.3, 67
42.8, 100
59.4, 32
59.6, 33

```
24
Lattice="2.7452 -4.4600 0.0000 2.7452 4.4600 0.0000 -1.1284 0.0000 10.0259" Properties=species:S:1:pos:R:3 pbc="T T T"
Li 0.0000 0.0000 0.0000
Li 2.1810 -0.0885 5.0129
Li 2.7452 -1.6370 0.0000
Li 2.1810 -3.1451 5.0129
Mn 1.0382 1.3484 2.5247
Mn 2.1810 2.8307 5.0129
Mn 0.5525 -0.1071 7.5184
Mn 2.7452 1.4158 0.0000
Mn 1.0961 -1.6000 2.5068
Mn 3.3239 1.3484 7.5012
Mn 3.8096 -0.1071 2.5075
Mn 3.2660 -1.6000 7.5191
O 1.7550 2.8404 1.3515
O 0.2580 -0.0404 3.7085
O 1.3498 1.2808 6.3086
O 2.6071 2.8404 8.6744
O 1.8478 0.0092 1.3285
O 3.0123 1.2808 3.7173
O 1.2195 -1.6229 6.3381
O 2.5143 0.0092 8.6974
O 1.8268 -3.1797 1.2869
O 3.1426 -1.6229 3.6878
O 4.1041 -0.0404 6.3174
O 2.5353 -3.1797 8.7389
```

---

This entry pairs a crystal structure of CaNi4O6 with its calculated powder diffraction line list. Radiation: Cu Ka. Structure: a GGA+U-relaxed structure.
Intensities are scaled so that the largest is 100.

Top 6 peaks for 2θ from 5° to 70°, in order of rising 2θ:
2θ (°), I_rel
11.7, 63
34.9, 100
35.8, 41
41.1, 46
42.5, 78
44.6, 58

```
22
Lattice="1.5117 -4.9011 0.0000 1.5117 4.9011 0.0000 0.0000 0.0000 15.0906" Properties=species:S:1:pos:R:3 pbc="T T T"
Ca 1.5117 3.3740 11.3179
Ca 1.5117 -3.3740 3.7726
Ni 1.5117 4.0119 1.9737
Ni 1.5117 4.0119 5.5716
Ni 1.5117 1.3406 0.6310
Ni 1.5117 1.3406 6.9143
Ni 1.5117 -1.3406 8.1763
Ni 1.5117 -1.3406 14.4596
Ni 1.5117 -4.0119 9.5190
Ni 1.5117 -4.0119 13.1169
O 0.0000 0.0000 0.0000
O 0.0000 0.0000 7.5453
O 1.5117 3.2391 3.7726
O 1.5117 2.1945 8.7051
O 1.5117 2.1945 13.9308
O 1.5117 0.4197 2.3028
O 1.5117 0.4197 5.2425
O 1.5117 -0.4197 9.8481
O 1.5117 -0.4197 12.7878
O 1.5117 -2.1945 1.1598
O 1.5117 -2.1945 6.3855
O 1.5117 -3.2391 11.3179
```

---

This entry pairs a crystal structure of Tm2WO6 with its calculated powder diffraction line list. Radiation: Cu Ka. Structure: a GGA+U-relaxed structure.
Intensities are scaled so that the largest is 100.

Top 6 peaks for 2θ from 5° to 70°, in order of rising 2θ:
2θ (°), I_rel
28.7, 100
29.4, 87
32.6, 23
33.6, 22
47.5, 24
48.4, 24

```
36
Lattice="8.0963 -5.4919 0.0000 8.0963 5.4919 0.0000 -1.5796 0.0000 5.1022" Properties=species:S:1:pos:R:3 pbc="T T T"
Tm 1.3490 1.2542 4.4978
Tm 6.9116 4.3486 3.8267
Tm 2.1388 -1.2542 1.9467
Tm 7.7014 1.4810 1.2756
Tm 6.9116 -1.4810 3.8267
Tm 12.4742 1.2542 3.1555
Tm 7.7014 -4.3486 1.2756
Tm 13.2640 -1.2542 0.6044
W 4.7137 1.6159 2.8962
W 5.5035 -1.6159 0.3451
W 9.1096 1.6159 4.7571
W 9.8994 -1.6159 2.2060
O 3.9041 2.2799 1.3142
O 1.3507 0.1839 0.3980
O 0.5609 -0.1839 2.9491
O 6.2065 2.9183 2.1537
O 5.0526 2.4392 4.5453
O 3.2542 0.5401 3.3037
O 9.1964 2.9183 0.3975
O 4.0440 -0.5401 0.7525
O 8.7706 2.4392 3.1080
O 6.0223 0.3569 2.6471
O 6.8121 -0.3569 0.0960
O 3.1143 -2.2799 3.8653
O 11.4988 2.2799 1.2369
O 7.8009 0.3569 5.0062
O 8.5907 -0.3569 2.4551
O 5.8424 -2.4392 1.9942
O 10.5691 0.5401 4.3497
O 5.4167 -2.9183 4.7048
O 11.3589 -0.5401 1.7986
O 9.5604 -2.4392 0.5569
O 8.4066 -2.9183 2.9486
O 14.0522 0.1839 2.1531
O 13.2624 -0.1839 4.7042
O 10.7090 -2.2799 3.7880
```

---

This entry pairs a crystal structure of CsTiNiOF5 with its calculated powder diffraction line list. Radiation: Cu Ka. Structure: a GGA+U-relaxed structure.
Intensities are scaled so that the largest is 100.

Top 6 peaks for 2θ from 5° to 70°, in order of rising 2θ:
2θ (°), I_rel
24.0, 92
28.0, 100
28.3, 99
28.6, 89
44.8, 27
49.2, 85

```
18
Lattice="-3.6358 3.7039 5.2992 3.6358 -3.7039 5.2992 3.6358 3.7039 -5.2992" Properties=species:S:1:pos:R:3 pbc="T T T"
Cs 0.0000 1.8520 1.3087
Cs 3.6358 1.8520 3.9904
Ti 1.8179 1.8520 -2.6496
Ti 1.8179 -1.8520 2.6496
Ni 3.6358 0.0000 0.0000
Ni 0.0000 0.0000 5.2992
O 3.6358 -1.8520 3.0997
O 0.0000 5.5559 2.1995
F 2.1346 -0.4586 1.3144
F 5.1370 -0.4586 1.3144
F 2.1346 3.2453 -1.3144
F 1.5012 -0.4586 3.9848
F 3.6358 1.8520 0.7615
F 0.0000 1.8520 4.5377
F 2.1346 4.1625 1.3144
F 1.5012 0.4586 6.6135
F -1.5012 4.1625 3.9848
F 1.5012 4.1625 3.9848
```